Diffraction record for YV3O6. The powder diffractogram is computed, not measured: it uses a crystal structure in the Materials Project, relaxed with GGA+U and Cu Kα.
Kinematic intensities with the Lorentz-polarization factor, no thermal factor.

Cell lengths 6.2954, 6.2954, 15.1429 Å; angles 90.00, 90.00, 120.00 degrees
Fractional positions:
Y (0.0000, 0.0000, 0.1295)
Y (0.0000, 0.0000, 0.8705)
Y (0.3333, 0.6667, 0.5553)
Y (0.6667, 0.3333, 0.4447)
V (0.0000, 0.0000, 0.5000)
V (0.0000, 0.5000, 0.0000)
V (0.1700, 0.3400, 0.3321)
V (0.1700, 0.8300, 0.3321)
V (0.3333, 0.6667, 0.1729)
V (0.3400, 0.1700, 0.6679)
V (0.5000, 0.0000, 0.0000)
V (0.5000, 0.5000, 0.0000)
V (0.6600, 0.8300, 0.3321)
V (0.6667, 0.3333, 0.8271)
V (0.8300, 0.1700, 0.6679)
V (0.8300, 0.6600, 0.6679)
O (0.0000, 0.0000, 0.2678)
O (0.0000, 0.0000, 0.7322)
O (0.0484, 0.5242, 0.2632)
O (0.1421, 0.2842, 0.5867)
O (0.1421, 0.8579, 0.5867)
O (0.1871, 0.3742, 0.0820)
O (0.1871, 0.8129, 0.0820)
O (0.2842, 0.1421, 0.4133)
O (0.3333, 0.6667, 0.4133)
O (0.3333, 0.6667, 0.9415)
O (0.3742, 0.1871, 0.9180)
O (0.4758, 0.5242, 0.2632)
O (0.4758, 0.9516, 0.2632)
O (0.5242, 0.0484, 0.7368)
O (0.5242, 0.4758, 0.7368)
O (0.6258, 0.8129, 0.0820)
O (0.6667, 0.3333, 0.0585)
O (0.6667, 0.3333, 0.5867)
O (0.7158, 0.8579, 0.5867)
O (0.8129, 0.1871, 0.9180)
O (0.8129, 0.6258, 0.9180)
O (0.8579, 0.1421, 0.4133)
O (0.8579, 0.7158, 0.4133)
O (0.9516, 0.4758, 0.7368)

Peak list (10 most intense, 10° ≤ 2θ ≤ 80°, in order of rising 2θ)
17.29 deg, 5.130 Å, rel. 44; 28.35 deg, 3.148 Å, rel. 44; 28.71 deg, 3.110 Å, rel. 41; 33.40 deg, 2.683 Å, rel. 61; 33.55 deg, 2.671 Å, rel. 100; 33.86 deg, 2.648 Å, rel. 56; 40.79 deg, 2.212 Å, rel. 39; 53.81 deg, 1.704 Å, rel. 44; 58.66 deg, 1.574 Å, rel. 53; 59.45 deg, 1.555 Å, rel. 48

=====

Diffraction record for Y2VO5. The powder diffractogram is computed, not measured: it uses a crystal structure in the Materials Project, relaxed with GGA+U and Cu Kα.
Kinematic intensities with the Lorentz-polarization factor, no thermal factor.

Cell lengths 8.4305, 8.4305, 10.5707 Å; angles 119.36, 119.36, 48.23 degrees
Fractional positions:
Y (0.0076, 0.2615, 0.8371)
Y (0.2109, 0.7240, 0.5374)
Y (0.2615, 0.0076, 0.3371)
Y (0.2760, 0.7891, 0.9626)
Y (0.7240, 0.2109, 0.0374)
Y (0.7385, 0.9924, 0.6629)
Y (0.7891, 0.2760, 0.4626)
Y (0.9924, 0.7385, 0.1629)
V (0.2146, 0.4060, 0.6844)
V (0.4060, 0.2146, 0.1844)
V (0.5940, 0.7854, 0.8156)
V (0.7854, 0.5940, 0.3156)
O (0.0465, 0.3394, 0.6779)
O (0.0834, 0.8841, 0.1027)
O (0.0894, 0.6825, 0.6729)
O (0.1159, 0.9166, 0.3973)
O (0.2217, 0.3746, 0.0478)
O (0.3175, 0.9106, 0.8271)
O (0.3394, 0.0465, 0.1779)
O (0.3746, 0.2217, 0.5478)
O (0.4047, 0.4221, 0.8681)
O (0.4221, 0.4047, 0.3681)
O (0.5779, 0.5953, 0.6319)
O (0.5953, 0.5779, 0.1319)
O (0.6254, 0.7783, 0.4522)
O (0.6606, 0.9535, 0.8221)
O (0.6825, 0.0894, 0.1729)
O (0.7783, 0.6254, 0.9522)
O (0.8841, 0.0834, 0.6027)
O (0.9106, 0.3175, 0.3271)
O (0.9166, 0.1159, 0.8973)
O (0.9535, 0.6606, 0.3221)

Peak list (10 most intense, 10° ≤ 2θ ≤ 80°, in order of rising 2θ)
21.62 deg, 4.111 Å, rel. 47; 23.71 deg, 3.753 Å, rel. 69; 27.76 deg, 3.213 Å, rel. 85; 28.81 deg, 3.099 Å, rel. 86; 29.35 deg, 3.043 Å, rel. 33; 29.79 deg, 2.999 Å, rel. 100; 32.99 deg, 2.715 Å, rel. 44; 39.86 deg, 2.262 Å, rel. 30; 47.86 deg, 1.901 Å, rel. 27; 51.01 deg, 1.790 Å, rel. 33

=====

Diffraction record for VZnO3. The powder diffractogram is computed, not measured: it uses a crystal structure in the Materials Project, relaxed with GGA+U and Cu Kα.
Kinematic intensities with the Lorentz-polarization factor, no thermal factor.

Cell lengths 5.1505, 7.6435, 5.1539 Å; angles 90.00, 90.00, 90.00 degrees
Fractional positions:
V (0.0000, 0.0000, 0.0000)
V (0.0000, 0.5000, 0.0000)
V (0.5000, 0.0000, 0.5000)
V (0.5000, 0.5000, 0.5000)
Zn (0.0336, 0.2500, 0.4931)
Zn (0.4664, 0.7500, 0.9931)
Zn (0.5336, 0.2500, 0.0069)
Zn (0.9664, 0.7500, 0.5069)
O (0.0728, 0.7500, 0.8862)
O (0.1914, 0.5621, 0.3297)
O (0.1914, 0.9379, 0.3297)
O (0.3086, 0.0621, 0.8297)
O (0.3086, 0.4379, 0.8297)
O (0.4272, 0.2500, 0.3862)
O (0.5728, 0.7500, 0.6138)
O (0.6914, 0.5621, 0.1703)
O (0.6914, 0.9379, 0.1703)
O (0.8086, 0.0621, 0.6703)
O (0.8086, 0.4379, 0.6703)
O (0.9272, 0.2500, 0.1138)

Peak list (10 most intense, 10° ≤ 2θ ≤ 80°, in order of rising 2θ)
34.00 deg, 2.637 Å, rel. 100; 34.83 deg, 2.576 Å, rel. 46; 42.31 deg, 2.136 Å, rel. 8; 47.59 deg, 1.911 Å, rel. 16; 50.08 deg, 1.822 Å, rel. 24; 57.88 deg, 1.593 Å, rel. 6; 60.31 deg, 1.535 Å, rel. 24; 61.91 deg, 1.499 Å, rel. 44; 71.56 deg, 1.318 Å, rel. 12; 79.75 deg, 1.203 Å, rel. 9

=====

Diffraction record for V4ZnO9. The powder diffractogram is computed, not measured: it uses a crystal structure in the Materials Project, relaxed with GGA+U and Cu Kα.
Kinematic intensities with the Lorentz-polarization factor, no thermal factor.

Cell lengths 8.3369, 8.3369, 4.9904 Å; angles 90.00, 90.00, 90.00 degrees
Fractional positions:
V (0.0317, 0.8396, 0.1301)
V (0.1604, 0.5317, 0.8699)
V (0.3396, 0.9683, 0.8699)
V (0.4683, 0.6604, 0.1301)
V (0.5317, 0.3396, 0.8699)
V (0.6604, 0.0317, 0.1301)
V (0.8396, 0.4683, 0.1301)
V (0.9683, 0.1604, 0.8699)
Zn (0.2500, 0.2500, 0.3590)
Zn (0.7500, 0.7500, 0.6410)
O (0.0202, 0.1857, 0.5509)
O (0.0454, 0.3566, 0.0498)
O (0.1434, 0.0454, 0.0498)
O (0.1857, 0.4798, 0.5509)
O (0.2500, 0.7500, 0.0000)
O (0.3143, 0.0202, 0.5509)
O (0.3566, 0.4546, 0.0498)
O (0.4546, 0.1434, 0.0498)
O (0.4798, 0.3143, 0.5509)
O (0.5202, 0.6857, 0.4491)
O (0.5454, 0.8566, 0.9502)
O (0.6434, 0.5454, 0.9502)
O (0.6857, 0.9798, 0.4491)
O (0.7500, 0.2500, 0.0000)
O (0.8143, 0.5202, 0.4491)
O (0.8566, 0.9546, 0.9502)
O (0.9546, 0.6434, 0.9502)
O (0.9798, 0.8143, 0.4491)

Peak list (10 most intense, 10° ≤ 2θ ≤ 80°, in order of rising 2θ)
17.77 deg, 4.990 Å, rel. 26; 23.35 deg, 3.809 Å, rel. 25; 27.89 deg, 3.199 Å, rel. 14; 29.92 deg, 2.987 Å, rel. 100; 34.01 deg, 2.636 Å, rel. 38; 43.65 deg, 2.074 Å, rel. 17; 48.85 deg, 1.864 Å, rel. 31; 52.39 deg, 1.746 Å, rel. 11; 54.07 deg, 1.696 Å, rel. 11; 58.35 deg, 1.581 Å, rel. 20

=====

Diffraction record for VZnO2. The powder diffractogram is computed, not measured: it uses a crystal structure in the Materials Project, relaxed with GGA+U and Cu Kα.
Kinematic intensities with the Lorentz-polarization factor, no thermal factor.

Cell lengths 2.9290, 7.7313, 9.5494 Å; angles 94.43, 90.99, 98.72 degrees
Fractional positions:
V (0.0000, 0.0000, 0.0000)
V (0.0226, 0.0779, 0.4422)
V (0.3569, 0.7206, 0.2305)
V (0.6661, 0.3623, 0.2169)
Zn (0.0524, 0.4227, 0.9057)
Zn (0.4920, 0.8716, 0.6678)
Zn (0.5055, 0.3830, 0.6815)
Zn (0.9268, 0.6199, 0.5504)
O (0.1201, 0.2605, 0.3340)
O (0.2128, 0.4796, 0.1108)
O (0.4600, 0.9363, 0.3609)
O (0.4774, 0.9479, 0.8692)
O (0.5420, 0.1360, 0.5794)
O (0.5691, 0.1546, 0.0741)
O (0.8100, 0.6044, 0.3341)
O (0.9032, 0.8194, 0.1081)

Peak list (10 most intense, 10° ≤ 2θ ≤ 80°, in order of rising 2θ)
22.82 deg, 3.897 Å, rel. 40; 24.46 deg, 3.639 Å, rel. 49; 25.89 deg, 3.441 Å, rel. 62; 28.82 deg, 3.098 Å, rel. 85; 29.62 deg, 3.016 Å, rel. 35; 31.25 deg, 2.862 Å, rel. 40; 35.34 deg, 2.540 Å, rel. 35; 35.84 deg, 2.505 Å, rel. 46; 36.81 deg, 2.442 Å, rel. 100; 36.98 deg, 2.431 Å, rel. 57

=====

Diffraction record for V3Zn2O8. The powder diffractogram is computed, not measured: it uses a crystal structure in the Materials Project, relaxed with GGA+U and Cu Kα.
Kinematic intensities with the Lorentz-polarization factor, no thermal factor.

Cell lengths 5.9346, 5.9346, 5.9346 Å; angles 60.29, 60.29, 60.29 degrees
Fractional positions:
V (0.0000, 0.5000, 0.5000)
V (0.5000, 0.0000, 0.5000)
V (0.5000, 0.5000, 0.0000)
Zn (0.1184, 0.1184, 0.1184)
Zn (0.8816, 0.8816, 0.8816)
O (0.2448, 0.2448, 0.7131)
O (0.2448, 0.7131, 0.2448)
O (0.2567, 0.2567, 0.2567)
O (0.2869, 0.7552, 0.7552)
O (0.7131, 0.2448, 0.2448)
O (0.7433, 0.7433, 0.7433)
O (0.7552, 0.2869, 0.7552)
O (0.7552, 0.7552, 0.2869)

Peak list (10 most intense, 10° ≤ 2θ ≤ 80°, in order of rising 2θ)
18.35 deg, 4.835 Å, rel. 19; 29.98 deg, 2.980 Å, rel. 14; 30.12 deg, 2.967 Å, rel. 57; 35.35 deg, 2.539 Å, rel. 100; 35.50 deg, 2.529 Å, rel. 23; 53.31 deg, 1.718 Å, rel. 22; 56.84 deg, 1.620 Å, rel. 24; 56.99 deg, 1.616 Å, rel. 18; 62.31 deg, 1.490 Å, rel. 27; 62.61 deg, 1.484 Å, rel. 23

=====

Diffraction record for V2Zn4O9. The powder diffractogram is computed, not measured: it uses a crystal structure in the Materials Project, relaxed with GGA+U and Cu Kα.
Kinematic intensities with the Lorentz-polarization factor, no thermal factor.

Cell lengths 9.8281, 8.3046, 10.5158 Å; angles 90.00, 117.17, 90.00 degrees
Fractional positions:
V (0.0335, 0.0000, 0.0299)
V (0.1410, 0.4893, 0.4786)
V (0.3533, 0.4969, 0.9962)
V (0.4583, 0.9729, 0.4434)
V (0.5417, 0.4729, 0.5566)
V (0.6467, 0.9969, 0.0038)
V (0.8590, 0.9893, 0.5214)
V (0.9665, 0.5000, 0.9701)
Zn (0.0603, 0.6480, 0.7185)
Zn (0.1021, 0.2233, 0.7903)
Zn (0.2141, 0.9721, 0.6103)
Zn (0.2402, 0.2952, 0.2618)
Zn (0.2481, 0.6693, 0.2588)
Zn (0.3077, 0.9313, 0.9146)
Zn (0.4347, 0.2865, 0.7732)
Zn (0.4365, 0.6731, 0.7655)
Zn (0.5635, 0.1731, 0.2345)
Zn (0.5653, 0.7865, 0.2268)
Zn (0.6923, 0.4313, 0.0854)
Zn (0.7519, 0.1693, 0.7412)
Zn (0.7598, 0.7952, 0.7382)
Zn (0.7859, 0.4721, 0.3897)
Zn (0.8979, 0.7233, 0.2097)
Zn (0.9397, 0.1480, 0.2815)
O (0.0016, 0.5043, 0.5391)
O (0.0547, 0.1499, 0.1561)
O (0.0882, 0.8220, 0.1200)
O (0.1039, 0.6541, 0.3588)
O (0.1142, 0.3082, 0.3896)
O (0.1537, 0.0491, 0.9520)
O (0.1547, 0.4820, 0.1145)
O (0.1758, 0.4485, 0.8488)
O (0.2426, 0.7864, 0.7458)
O (0.2779, 0.1346, 0.7639)
O (0.3144, 0.4865, 0.6343)
O (0.3156, 0.9599, 0.4908)
O (0.3655, 0.6932, 0.0567)
O (0.3675, 0.4795, 0.3982)
O (0.4213, 0.1456, 0.3319)
O (0.4245, 0.3538, 0.1261)
O (0.4409, 0.7985, 0.3378)
O (0.4875, 0.4886, 0.9204)
O (0.5125, 0.9886, 0.0796)
O (0.5591, 0.2985, 0.6622)
O (0.5755, 0.8538, 0.8739)
O (0.5787, 0.6456, 0.6681)
O (0.6325, 0.9795, 0.6018)
O (0.6345, 0.1932, 0.9433)
O (0.6844, 0.4599, 0.5092)
O (0.6856, 0.9865, 0.3657)
O (0.7221, 0.6346, 0.2361)
O (0.7574, 0.2864, 0.2542)
O (0.8242, 0.9485, 0.1512)
O (0.8453, 0.9820, 0.8855)
O (0.8463, 0.5491, 0.0480)
O (0.8858, 0.8082, 0.6104)
O (0.8961, 0.1541, 0.6412)
O (0.9118, 0.3220, 0.8800)
O (0.9453, 0.6499, 0.8439)
O (0.9984, 0.0043, 0.4609)

Peak list (10 most intense, 10° ≤ 2θ ≤ 80°, in order of rising 2θ)
27.58 deg, 3.234 Å, rel. 11; 28.30 deg, 3.153 Å, rel. 37; 28.75 deg, 3.105 Å, rel. 100; 30.99 deg, 2.886 Å, rel. 54; 33.98 deg, 2.638 Å, rel. 11; 35.18 deg, 2.551 Å, rel. 36; 36.58 deg, 2.456 Å, rel. 11; 54.48 deg, 1.684 Å, rel. 28; 56.96 deg, 1.617 Å, rel. 12; 58.53 deg, 1.577 Å, rel. 11

=====

Diffraction record for VZnO2. The powder diffractogram is computed, not measured: it uses a crystal structure in the Materials Project, relaxed with GGA+U and Cu Kα.
Kinematic intensities with the Lorentz-polarization factor, no thermal factor.

Cell lengths 3.0306, 8.7464, 9.8668 Å; angles 112.59, 95.01, 99.03 degrees
Fractional positions:
V (0.0000, 0.0000, 0.0000)
V (0.1991, 0.5813, 0.8471)
V (0.4810, 0.2728, 0.6007)
V (0.6981, 0.8546, 0.4502)
Zn (0.0380, 0.0859, 0.2869)
Zn (0.0828, 0.5385, 0.5293)
Zn (0.6035, 0.3164, 0.9199)
Zn (0.6267, 0.7676, 0.1618)
O (0.0405, 0.3102, 0.7610)
O (0.1424, 0.7149, 0.4660)
O (0.2842, 0.0281, 0.4920)
O (0.3780, 0.8252, 0.9562)
O (0.5579, 0.1363, 0.9771)
O (0.6346, 0.5441, 0.6863)
O (0.7245, 0.5626, 0.9807)
O (0.9570, 0.2922, 0.4676)

Peak list (10 most intense, 10° ≤ 2θ ≤ 80°, in order of rising 2θ)
11.54 deg, 7.668 Å, rel. 100; 17.69 deg, 5.014 Å, rel. 55; 19.75 deg, 4.495 Å, rel. 34; 31.30 deg, 2.858 Å, rel. 42; 31.76 deg, 2.817 Å, rel. 21; 33.18 deg, 2.700 Å, rel. 27; 33.92 deg, 2.642 Å, rel. 38; 36.09 deg, 2.489 Å, rel. 29; 37.18 deg, 2.418 Å, rel. 30; 39.17 deg, 2.300 Å, rel. 24

=====

Diffraction record for VZnO2. The powder diffractogram is computed, not measured: it uses a crystal structure in the Materials Project, relaxed with GGA+U and Cu Kα.
Kinematic intensities with the Lorentz-polarization factor, no thermal factor.

Cell lengths 3.0556, 7.6298, 8.4553 Å; angles 88.18, 79.81, 78.51 degrees
Fractional positions:
V (0.0000, 0.0000, 0.0000)
V (0.1700, 0.3053, 0.3374)
V (0.4904, 0.7015, 0.2998)
V (0.6793, 0.0043, 0.6318)
Zn (0.3300, 0.3956, 0.0241)
Zn (0.4030, 0.6057, 0.6110)
Zn (0.7885, 0.6303, 0.9085)
Zn (0.9613, 0.3762, 0.7350)
O (0.0534, 0.1283, 0.7638)
O (0.3018, 0.8565, 0.5314)
O (0.3768, 0.1462, 0.1008)
O (0.6278, 0.8754, 0.8691)
O (0.6654, 0.1941, 0.4592)
O (0.6663, 0.4440, 0.2091)
O (0.9975, 0.5606, 0.4311)
O (0.9982, 0.8072, 0.1739)

Peak list (10 most intense, 10° ≤ 2θ ≤ 80°, in order of rising 2θ)
10.63 deg, 8.322 Å, rel. 42; 11.84 deg, 7.477 Å, rel. 82; 26.16 deg, 3.406 Å, rel. 42; 32.26 deg, 2.775 Å, rel. 54; 34.50 deg, 2.600 Å, rel. 59; 34.86 deg, 2.573 Å, rel. 100; 38.13 deg, 2.360 Å, rel. 47; 40.44 deg, 2.231 Å, rel. 44; 40.58 deg, 2.223 Å, rel. 47; 54.97 deg, 1.670 Å, rel. 43

=====

What did the second record say?
Diffraction record for Y2VO5. The powder diffractogram is computed, not measured: it uses a crystal structure in the Materials Project, relaxed with GGA+U and Cu Kα.
Kinematic intensities with the Lorentz-polarization factor, no thermal factor.

Cell lengths 8.4305, 8.4305, 10.5707 Å; angles 119.36, 119.36, 48.23 degrees
Fractional positions:
Y (0.0076, 0.2615, 0.8371)
Y (0.2109, 0.7240, 0.5374)
Y (0.2615, 0.0076, 0.3371)
Y (0.2760, 0.7891, 0.9626)
Y (0.7240, 0.2109, 0.0374)
Y (0.7385, 0.9924, 0.6629)
Y (0.7891, 0.2760, 0.4626)
Y (0.9924, 0.7385, 0.1629)
V (0.2146, 0.4060, 0.6844)
V (0.4060, 0.2146, 0.1844)
V (0.5940, 0.7854, 0.8156)
V (0.7854, 0.5940, 0.3156)
O (0.0465, 0.3394, 0.6779)
O (0.0834, 0.8841, 0.1027)
O (0.0894, 0.6825, 0.6729)
O (0.1159, 0.9166, 0.3973)
O (0.2217, 0.3746, 0.0478)
O (0.3175, 0.9106, 0.8271)
O (0.3394, 0.0465, 0.1779)
O (0.3746, 0.2217, 0.5478)
O (0.4047, 0.4221, 0.8681)
O (0.4221, 0.4047, 0.3681)
O (0.5779, 0.5953, 0.6319)
O (0.5953, 0.5779, 0.1319)
O (0.6254, 0.7783, 0.4522)
O (0.6606, 0.9535, 0.8221)
O (0.6825, 0.0894, 0.1729)
O (0.7783, 0.6254, 0.9522)
O (0.8841, 0.0834, 0.6027)
O (0.9106, 0.3175, 0.3271)
O (0.9166, 0.1159, 0.8973)
O (0.9535, 0.6606, 0.3221)

Peak list (10 most intense, 10° ≤ 2θ ≤ 80°, in order of rising 2θ)
21.62 deg, 4.111 Å, rel. 47; 23.71 deg, 3.753 Å, rel. 69; 27.76 deg, 3.213 Å, rel. 85; 28.81 deg, 3.099 Å, rel. 86; 29.35 deg, 3.043 Å, rel. 33; 29.79 deg, 2.999 Å, rel. 100; 32.99 deg, 2.715 Å, rel. 44; 39.86 deg, 2.262 Å, rel. 30; 47.86 deg, 1.901 Å, rel. 27; 51.01 deg, 1.790 Å, rel. 33